No. 1
BaCaCeGeO6: calculated powder diffraction line list (λ = 1.5418 Å (Cu Kα)), based on the PBE geometry in the Materials Project.
Lines closer than 0.1° are merged.

The 10 most intense peaks (5 to 70 degrees two-theta), sorted by position:
Position (°2θ), Rel. int.
18.54, 18
21.44, 6
30.50, 100
35.93, 13
43.68, 33
47.83, 7
54.21, 39
57.80, 4
63.49, 20
66.77, 4

Cell and atoms:
Unit cell a=5.8610 b=5.8610 c=5.8610 alpha=60.00 beta=60.00 gamma=60.00
Fractional positions:
1 Ba 0.0000 0.0000 0.0000
2 Ca 0.5000 0.5000 0.5000
3 Ce 0.7500 0.7500 0.7500
4 Ge 0.2500 0.2500 0.2500
5 O 0.0174 0.0174 0.4826
6 O 0.0174 0.4826 0.0174
7 O 0.0174 0.4826 0.4826
8 O 0.4826 0.0174 0.0174
9 O 0.4826 0.0174 0.4826
10 O 0.4826 0.4826 0.0174

No. 2
Li4Cu3O6: calculated powder diffraction line list (λ = 1.5418 Å (Cu Kα)), based on the PBE geometry in the Materials Project.
Lines closer than 0.1° are merged.

The 10 most intense peaks (5 to 70 degrees two-theta), sorted by position:
Position (°2θ), Rel. int.
18.19, 100
19.61, 21
27.04, 78
28.45, 74
34.86, 17
40.86, 15
44.42, 24
44.68, 47
57.10, 26
62.36, 16

Cell and atoms:
Unit cell a=6.5380 b=6.5380 c=7.3600 alpha=110.07 beta=110.07 gamma=78.81
Fractional positions:
1 Li 0.0000 0.0000 0.0000
2 Li 0.0009 0.6732 0.6101
3 Li 0.0456 0.3998 0.2624
4 Li 0.3443 0.6683 0.0193
5 Li 0.3837 0.3837 0.6562
6 Li 0.3998 0.0456 0.2624
7 Li 0.6683 0.3443 0.0193
8 Li 0.6732 0.0009 0.6101
9 Cu 0.1776 0.8510 0.4059
10 Cu 0.2093 0.2093 0.8740
11 Cu 0.5127 0.5127 0.3986
12 Cu 0.5353 0.8658 0.8635
13 Cu 0.8510 0.1776 0.4059
14 Cu 0.8658 0.5353 0.8635
15 O 0.0962 0.0962 0.3089
16 O 0.1356 0.4746 0.8052
17 O 0.2491 0.5897 0.4749
18 O 0.2942 0.9586 0.9673
19 O 0.4241 0.7690 0.3169
20 O 0.4746 0.1356 0.8052
21 O 0.5886 0.5886 0.9040
22 O 0.5897 0.2491 0.4749
23 O 0.7690 0.4241 0.3169
24 O 0.7962 0.7962 0.7906
25 O 0.9427 0.9427 0.5112
26 O 0.9586 0.2942 0.9673

No. 3
ErFe2Co2B: calculated powder diffraction line list (λ = 1.5418 Å (Cu Kα)), based on the PBE geometry in the Materials Project.
Lines closer than 0.1° are merged.

The 10 most intense peaks (5 to 70 degrees two-theta), sorted by position:
Position (°2θ), Rel. int.
20.42, 21
33.03, 95
33.19, 49
36.06, 35
41.53, 73
42.06, 34
44.41, 57
44.79, 100
52.76, 22
69.29, 19

Cell and atoms:
Unit cell a=4.9814 b=4.9814 c=6.9396 alpha=90.00 beta=90.00 gamma=119.20
Fractional positions:
1 Er 0.0000 0.0000 0.0000
2 Er 0.0000 0.0000 0.4936
3 Fe 0.0000 0.5000 0.7800
4 Fe 0.5000 0.0000 0.7800
5 Fe 0.5000 0.5000 0.2129
6 Fe 0.5000 0.5000 0.7821
7 Co 0.0000 0.5000 0.2068
8 Co 0.3365 0.6635 0.4956
9 Co 0.5000 0.0000 0.2068
10 Co 0.6635 0.3365 0.4956
11 B 0.3307 0.6693 0.9979
12 B 0.6693 0.3307 0.9979

No. 4
Pm2MgRu: calculated powder diffraction line list (λ = 1.5418 Å (Cu Kα)), based on the PBE geometry in the Materials Project.
Lines closer than 0.1° are merged.

The 10 most intense peaks (5 to 70 degrees two-theta), sorted by position:
Position (°2θ), Rel. int.
21.08, 8
24.39, 19
34.77, 100
41.01, 4
42.93, 6
49.99, 18
54.83, 2
56.38, 8
62.32, 36
66.58, 1

Cell and atoms:
Unit cell a=5.1609 b=5.1609 c=5.1609 alpha=60.00 beta=60.00 gamma=60.00
Fractional positions:
1 Pm 0.2500 0.2500 0.2500
2 Pm 0.7500 0.7500 0.7500
3 Mg 0.0000 0.0000 0.0000
4 Ru 0.5000 0.5000 0.5000